LaCe2Tc9: theoretical XRD peak list (copper Kα), based on a structure optimized by DFT (GGA-PBE).
No peak broadening, texture or thermal motion is included.

Principal peaks in the range 10° ≤ 2θ ≤ 90°, in order of rising 2θ:
| 2theta | Rel. int. |
| --- | --- |
| 31.87 | 39 |
| 32.50 | 63 |
| 34.12 | 70 |
| 37.50 | 100 |
| 39.26 | 87 |
| 39.80 | 88 |
| 40.04 | 86 |
| 41.45 | 55 |
| 42.19 | 68 |
| 68.06 | 44 |

Structural model:
```
LaCe2Tc9
1.0
4.864 -2.631 0.000
4.864 2.631 0.000
-2.595 0.000 8.713
La Ce Tc
1 2 9
Direct
0.000 0.000 0.000
0.142 0.142 0.426
0.858 0.858 0.574
0.062 0.597 0.244
0.353 0.353 0.012
0.403 0.938 0.756
0.419 0.419 0.740
0.500 0.500 0.500
0.581 0.581 0.260
0.597 0.062 0.244
0.647 0.647 0.988
0.938 0.403 0.756
```



LaCe5Te8: theoretical XRD peak list (copper Kα), based on a structure optimized by DFT (GGA-PBE).
No peak broadening, texture or thermal motion is included.

Principal peaks in the range 10° ≤ 2θ ≤ 90°, in order of rising 2θ:
| 2theta | Rel. int. |
| --- | --- |
| 29.55 | 100 |
| 35.13 | 73 |
| 42.28 | 16 |
| 44.45 | 11 |
| 46.54 | 16 |
| 48.56 | 17 |
| 59.62 | 28 |
| 61.33 | 11 |
| 63.02 | 15 |
| 72.69 | 16 |

Structural model:
```
LaCe5Te8
1.0
-4.779 4.779 4.782
4.779 -4.779 4.782
4.779 4.779 -4.782
La Ce Te
1 5 8
Direct
0.000 0.000 0.000
0.125 0.250 0.624
0.250 0.750 0.500
0.499 0.875 0.125
0.626 0.501 0.376
0.750 0.374 0.875
0.028 0.623 0.750
0.223 0.474 0.098
0.376 0.125 0.902
0.377 0.127 0.405
0.526 0.624 0.750
0.721 0.972 0.595
0.873 0.279 0.250
0.875 0.777 0.250
```